Record 1
Starting from DFT lattice parameters and positions (PBE), the X-ray diffraction stick pattern of PCl3F was simulated for Cu Kα (weighted mean of Kα1 and Kα2).
Lines closer than 0.1° are merged.

Structure:
Unit cell a=6.186 b=13.768 c=9.526 alpha=90.00 beta=111.81 gamma=90.00
Space group P2/c (No. 13)
Asymmetric unit:
P: 0.075 0.155 0.065
Cl: 0.195 0.288 0.028
Cl: 0.278 0.170 0.550
Cl: 0.327 0.448 0.700
F: 0.137 0.092 0.943

Principal peaks in the range 10 to 90 degrees two-theta, in order of falling intensity:
2theta, I/Imax
20.29, 100
23.92, 64
20.09, 63
30.02, 61
21.10, 61
19.34, 48
16.73, 42
43.72, 27
36.91, 24
21.82, 22

=====

Record 2
Starting from DFT lattice parameters and positions (PBE), the X-ray diffraction stick pattern of K3Rb7Cd was simulated for Cu Kα (weighted mean of Kα1 and Kα2).
Lines closer than 0.1° are merged.

Structure:
Unit cell a=15.475 b=13.785 c=8.737 alpha=90.00 beta=111.74 gamma=90.00
Space group Cm (No. 8)
Asymmetric unit:
K: 0.000 0.000 0.000
K: 0.443 0.221 0.708
Rb: 0.092 0.323 0.314
Rb: 0.176 0.500 0.841
Rb: 0.213 0.000 0.555
Rb: 0.278 0.175 0.056
Rb: 0.381 0.500 0.410
Cd: 0.452 0.000 0.956

Principal peaks in the range 10 to 90 degrees two-theta, in order of falling intensity:
2theta, I/Imax
23.25, 100
21.95, 85
26.31, 84
23.06, 66
25.71, 57
24.50, 56
21.42, 40
12.18, 38
41.34, 33
25.47, 29

=====

Record 3
Starting from DFT lattice parameters and positions (PBE), the X-ray diffraction stick pattern of CsIn3Cl4 was simulated for Cu Kα (weighted mean of Kα1 and Kα2).
Lines closer than 0.1° are merged.

Structure:
Unit cell a=13.200 b=9.333 c=4.686 alpha=90.00 beta=90.23 gamma=90.00
Space group C2/m (No. 12)
Asymmetric unit:
Cs: 0.000 0.000 0.000
In: 0.000 0.500 0.000
In: 0.250 0.250 0.500
Cl: 0.000 0.264 0.500
Cl: 0.244 0.500 0.000

Principal peaks in the range 10 to 90 degrees two-theta, in order of falling intensity:
2theta, I/Imax
26.98, 100
38.46, 37
38.60, 37
23.35, 26
23.28, 26
47.72, 19
45.57, 17
62.93, 16
45.45, 12
62.76, 11

=====

Record 4
Starting from DFT lattice parameters and positions (PBE), the X-ray diffraction stick pattern of B2Rh5 was simulated for Cu Kα (weighted mean of Kα1 and Kα2).
Lines closer than 0.1° are merged.

Structure:
Unit cell a=12.574 b=4.912 c=5.480 alpha=90.00 beta=97.05 gamma=90.00
Space group C2/c (No. 15)
Asymmetric unit:
B: 0.111 0.197 0.075
Rh: 0.000 0.078 0.750
Rh: 0.096 0.402 0.417
Rh: 0.216 0.066 0.810

Principal peaks in the range 10 to 90 degrees two-theta, in order of falling intensity:
2theta, I/Imax
40.54, 100
37.70, 65
40.29, 59
41.66, 35
42.18, 33
36.59, 24
41.28, 23
45.93, 22
53.53, 20
71.50, 19

=====

Record 5
Starting from DFT lattice parameters and positions (PBE), the X-ray diffraction stick pattern of Dy4SnTe2S was simulated for Cu Kα (weighted mean of Kα1 and Kα2).
Lines closer than 0.1° are merged.

Structure:
Unit cell a=7.326 b=4.246 c=7.501 alpha=90.00 beta=109.19 gamma=90.00
Space group P2/m (No. 10)
Asymmetric unit:
Dy: 0.227 0.000 0.217
Dy: 0.245 0.500 0.771
Sn: 0.500 0.000 0.000
Te: 0.000 0.000 0.500
Te: 0.500 0.500 0.500
S: 0.000 0.500 0.000

Principal peaks in the range 10 to 90 degrees two-theta, in order of falling intensity:
2theta, I/Imax
29.58, 100
42.72, 25
41.94, 24
52.70, 13
42.59, 13
42.08, 11
61.41, 11
70.18, 11
69.06, 9
77.54, 8

=====

Record 6
Starting from DFT lattice parameters and positions (PBE), the X-ray diffraction stick pattern of BiS4N3Cl4 was simulated for Cu Kα (weighted mean of Kα1 and Kα2).
Lines closer than 0.1° are merged.

Structure:
Unit cell a=7.650 b=9.965 c=10.188 alpha=63.09 beta=72.60 gamma=81.35
Space group P-1 (No. 2)
Asymmetric unit:
Bi: 0.248 0.119 0.456
S: 0.022 0.637 0.115
S: 0.169 0.541 0.771
S: 0.250 0.103 0.958
S: 0.486 0.651 0.202
N: 0.076 0.205 0.940
N: 0.369 0.477 0.765
N: 0.443 0.182 0.890
Cl: 0.111 0.896 0.391
Cl: 0.212 0.339 0.185
Cl: 0.285 0.314 0.545
Cl: 0.375 0.888 0.697

Principal peaks in the range 10 to 90 degrees two-theta, in order of falling intensity:
2theta, I/Imax
18.28, 100
10.68, 91
10.09, 82
15.57, 58
15.85, 47
26.72, 46
28.26, 42
21.70, 36
20.05, 33
19.43, 30